This entry pairs a crystal structure of CaPuCd17 with its theoretical powder diffractogram. Radiation: Cu Kα. Structure: a DFT-relaxed cell (PBE, Alexandria).

Largest 10 diffraction maxima, low angle first, 10° ≤ 2θ ≤ 80°:
2θ (°), d (Å), intensity
11.66, 7.588, 13
30.56, 2.926, 24
31.26, 2.861, 17
35.47, 2.531, 100
35.67, 2.517, 21
36.08, 2.489, 27
39.83, 2.263, 33
40.00, 2.254, 9
63.61, 1.463, 11
63.99, 1.455, 22

Structural model:
```
19
Lattice="5.067 2.926 5.033 -5.067 2.926 5.033 0.000 -5.851 5.033" Properties=species:S:1:pos:R:3 pbc="T T T"
Ca 0.000 0.000 0.000
Pu 0.000 0.000 10.034
Cd -1.538 -2.651 5.054
Cd -3.065 -0.007 5.054
Cd -2.433 -1.405 7.892
Cd 0.000 0.000 3.614
Cd 0.000 -3.112 7.513
Cd -2.695 1.556 7.513
Cd 1.538 -2.651 5.054
Cd -1.527 2.658 5.054
Cd 0.000 0.000 6.624
Cd -2.190 -1.265 12.353
Cd 3.065 -0.007 5.054
Cd 1.527 2.658 5.054
Cd 2.433 -1.405 7.892
Cd 0.000 2.810 7.892
Cd 2.695 1.556 7.513
Cd 2.190 -1.265 12.353
Cd 0.000 2.529 12.353
```

This entry pairs a crystal structure of NpSi2S6 with its theoretical powder diffractogram. Radiation: Cu Kα. Structure: a DFT-relaxed cell (PBE, Alexandria).

Largest 10 diffraction maxima, low angle first, 10° ≤ 2θ ≤ 80°:
2θ (°), d (Å), intensity
10.59, 8.357, 100
14.64, 6.051, 27
16.92, 5.239, 54
18.86, 4.705, 33
23.36, 3.809, 42
24.38, 3.651, 45
27.12, 3.288, 40
33.81, 2.651, 30
34.55, 2.596, 32
49.92, 1.827, 35

Structural model:
```
18
Lattice="6.133 -5.776 0.000 6.133 5.776 0.000 -1.011 0.000 6.145" Properties=species:S:1:pos:R:3 pbc="T T T"
Np 5.374 4.399 4.609
Np 5.880 -4.399 1.536
Si 2.991 0.848 4.228
Si 3.497 -0.848 1.155
Si 7.757 0.848 4.990
Si 8.263 -0.848 1.917
S 0.829 0.855 3.972
S 3.518 2.668 5.169
S 1.335 -0.855 0.899
S 4.090 0.825 2.376
S 7.231 2.668 4.049
S 3.585 -0.825 5.449
S 7.670 0.825 0.697
S 4.024 -2.668 2.096
S 7.164 -0.825 3.769
S 9.920 0.855 5.246
S 7.736 -2.668 0.976
S 10.425 -0.855 2.173
```

This entry pairs a crystal structure of Pr5BiIr2 with its theoretical powder diffractogram. Radiation: Cu Kα. Structure: a DFT-relaxed cell (PBE, Alexandria).

Largest 10 diffraction maxima, low angle first, 10° ≤ 2θ ≤ 80°:
2θ (°), d (Å), intensity
12.62, 7.017, 16
19.92, 4.457, 13
29.80, 2.998, 16
31.07, 2.878, 100
33.69, 2.660, 22
34.76, 2.581, 62
40.54, 2.225, 33
50.01, 1.824, 18
64.20, 1.451, 20
64.64, 1.442, 22

Structural model:
```
16
Lattice="-4.081 4.081 7.017 4.081 -4.081 7.017 4.081 4.081 -7.017" Properties=species:S:1:pos:R:3 pbc="T T T"
Pr 0.000 0.000 0.000
Pr 5.365 1.285 -1.856
Pr 1.285 2.796 -1.856
Pr 5.365 1.285 1.856
Pr 1.285 2.796 1.856
Pr 0.000 0.000 7.017
Pr 2.796 1.285 5.160
Pr -1.285 2.796 5.160
Pr 2.796 1.285 8.873
Pr -1.285 2.796 8.873
Bi 0.000 0.000 3.508
Bi 0.000 0.000 10.525
Ir 2.936 1.144 0.000
Ir 2.936 -1.144 7.017
Ir 1.144 5.225 0.000
Ir 1.144 2.936 7.017
```